(1)
Theoretical X-ray diffraction stick pattern
Compound: Ni9Se8
Radiation: Cu Ka
Structure: a cell relaxed with PBE
Neutral-atom scattering factors, no anomalous dispersion.

Principal peaks in the range 2θ = 5–70°, most intense first:
2theta, I/Imax
49.1, 1000
29.5, 627
28.2, 369
58.4, 250
44.9, 229
37.4, 93

Atomic structure:
Cell lengths 7.417, 7.417, 7.417 Å; angles 60.00, 60.00, 60.00 degrees
Fractional coordinates of all 17 atoms:
Ni1 0.000 0.000 0.000
Ni2 0.130 0.623 0.623
Ni3 0.377 0.377 0.377
Ni4 0.377 0.377 0.870
Ni5 0.377 0.870 0.377
Ni6 0.623 0.130 0.623
Ni7 0.623 0.623 0.130
Ni8 0.623 0.623 0.623
Ni9 0.870 0.377 0.377
Se1 0.237 0.237 0.763
Se2 0.237 0.763 0.237
Se3 0.237 0.763 0.763
Se4 0.250 0.250 0.250
Se5 0.750 0.750 0.750
Se6 0.763 0.237 0.237
Se7 0.763 0.237 0.763
Se8 0.763 0.763 0.237

(2)
Theoretical X-ray diffraction stick pattern
Compound: Er2Tm2Ta
Radiation: Cu Ka
Structure: a cell relaxed with PBE
Neutral-atom scattering factors, no anomalous dispersion.

Principal peaks in the range 2θ = 5–70°, most intense first:
2theta, I/Imax
34.8, 1000
10.9, 966
36.8, 934
30.5, 354
51.5, 330
64.9, 329

Atomic structure:
Cell lengths 4.887, 4.887, 16.286 Å; angles 90.00, 90.00, 120.00 degrees
Fractional coordinates of all 10 atoms:
Er1 0.333 0.667 0.053
Er2 0.333 0.667 0.447
Er3 0.667 0.333 0.553
Er4 0.667 0.333 0.947
Tm1 0.333 0.667 0.646
Tm2 0.333 0.667 0.854
Tm3 0.667 0.333 0.146
Tm4 0.667 0.333 0.354
Ta1 0.000 0.000 0.000
Ta2 0.000 0.000 0.500

(3)
Theoretical X-ray diffraction stick pattern
Compound: Cu2SnGe
Radiation: Cu Ka
Structure: a cell relaxed with PBE
Neutral-atom scattering factors, no anomalous dispersion.

Principal peaks in the range 2θ = 5–70°, most intense first:
2theta, I/Imax
39.2, 1000
56.6, 156
30.8, 64
27.4, 48
64.1, 39
58.6, 34

Atomic structure:
Cell lengths 6.500, 6.500, 6.500 Å; angles 90.00, 90.00, 90.00 degrees
Fractional coordinates of all 16 atoms:
Cu1 0.227 0.227 0.227
Cu2 0.227 0.227 0.773
Cu3 0.227 0.773 0.227
Cu4 0.227 0.773 0.773
Cu5 0.773 0.227 0.227
Cu6 0.773 0.227 0.773
Cu7 0.773 0.773 0.227
Cu8 0.773 0.773 0.773
Sn1 0.000 0.500 0.500
Sn2 0.500 0.000 0.500
Sn3 0.500 0.500 0.000
Sn4 0.500 0.500 0.500
Ge1 0.000 0.000 0.000
Ge2 0.000 0.000 0.500
Ge3 0.000 0.500 0.000
Ge4 0.500 0.000 0.000

(4)
Theoretical X-ray diffraction stick pattern
Compound: ZrW
Radiation: Cu Ka
Structure: a cell relaxed with PBE
Neutral-atom scattering factors, no anomalous dispersion.

Principal peaks in the range 2θ = 5–70°, most intense first:
2theta, I/Imax
38.0, 1000
37.8, 697
37.5, 372
68.3, 269
12.5, 265
54.4, 220

Atomic structure:
Cell lengths 6.695, 4.802, 7.289 Å; angles 90.00, 102.82, 90.00 degrees
Fractional coordinates of all 12 atoms:
Zr1 0.036 0.250 0.170
Zr2 0.300 0.750 0.201
Zr3 0.449 0.750 0.825
Zr4 0.551 0.250 0.175
Zr5 0.700 0.250 0.799
Zr6 0.964 0.750 0.830
W1 0.115 0.750 0.496
W2 0.200 0.250 0.800
W3 0.367 0.250 0.502
W4 0.633 0.750 0.498
W5 0.800 0.750 0.200
W6 0.885 0.250 0.504